Simulated XRD peak list
Compound: BaZnMoF7
Radiation: λ = 1.5418 Å (Cu Kα)
Structure: a cell relaxed with PBE+U

Cell and atoms:
```
data_BaZnMoF7
_symmetry_space_group_name_H-M 'P 1'
_symmetry_Int_Tables_number 1
_symmetry_space_group_name_Hall 'P 1'
_cell_length_a 5.785
_cell_length_b 10.250
_cell_length_c 9.911
_cell_angle_alpha 90.00
_cell_angle_beta 92.65
_cell_angle_gamma 90.00
loop_
_atom_site_label
_atom_site_type_symbol
_atom_site_fract_x
_atom_site_fract_y
_atom_site_fract_z
Ba1 Ba 0.236 0.177 0.003
Ba2 Ba 0.236 0.323 0.503
Ba3 Ba 0.764 0.677 0.497
Ba4 Ba 0.764 0.823 0.997
Zn1 Zn 0.192 0.603 0.809
Zn2 Zn 0.192 0.897 0.309
Zn3 Zn 0.808 0.103 0.691
Zn4 Zn 0.808 0.397 0.191
Mo1 Mo 0.305 0.611 0.185
Mo2 Mo 0.305 0.889 0.685
Mo3 Mo 0.695 0.111 0.315
Mo4 Mo 0.695 0.389 0.815
F1 F 0.008 0.712 0.249
F2 F 0.008 0.788 0.749
F3 F 0.105 0.542 0.627
F4 F 0.105 0.958 0.127
F5 F 0.131 0.060 0.624
F6 F 0.131 0.440 0.124
F7 F 0.238 0.699 0.993
F8 F 0.238 0.801 0.493
F9 F 0.372 0.053 0.381
F10 F 0.372 0.447 0.881
F11 F 0.397 0.539 0.376
F12 F 0.397 0.961 0.876
F13 F 0.479 0.716 0.750
F14 F 0.479 0.784 0.250
F15 F 0.521 0.216 0.750
F16 F 0.521 0.284 0.250
F17 F 0.603 0.039 0.124
F18 F 0.603 0.461 0.624
F19 F 0.628 0.553 0.119
F20 F 0.628 0.947 0.619
F21 F 0.762 0.199 0.507
F22 F 0.762 0.301 0.007
F23 F 0.869 0.560 0.876
F24 F 0.869 0.940 0.376
F25 F 0.895 0.042 0.873
F26 F 0.895 0.458 0.373
F27 F 0.992 0.212 0.251
F28 F 0.992 0.288 0.751
```

Top 10 peaks for 2θ = 10–90°, sorted by position:
2theta	I/Imax	h k l
24.66	100	1 2 -1
25.74	55	1 1 2
28.41	31	0 1 3
30.39	18	1 3 0
30.95	23	2 0 0
37.90	18	0 3 3
39.51	17	2 2 -2
39.70	25	1 4 1
51.08	25	3 2 -1
52.67	21	1 2 5